No. 1
Starting from DFT lattice parameters and positions (PBE), the X-ray powder pattern of Sm2In3Co9 was calculated for Cu Kα (weighted mean of Kα1 and Kα2).
Kinematic intensities with the Lorentz-polarization factor, no thermal factor.

Crystal structure
Lattice parameters (Å, degrees): 4.033 22.202 4.900 90.00 90.00 90.00
Space group Amm2 (No. 38)
Symmetry-distinct sites (fractional):
Sm1 0.000 0.181 0.000 (multiplicity 4)
In1 0.000 0.000 0.507 (multiplicity 2)
In2 0.500 0.202 0.500 (multiplicity 4)
Co1 0.000 0.061 0.005 (multiplicity 4)
Co2 0.000 0.119 0.506 (multiplicity 4)
Co3 0.500 0.000 0.009 (multiplicity 2)
Co4 0.500 0.092 0.754 (multiplicity 4)
Co5 0.500 0.093 0.261 (multiplicity 4)

Peak list (8 most intense, 15 to 90 degrees two-theta, in order of rising 2θ)
| 2θ (°) | I_rel |
| --- | --- |
| 31.16 | 100 |
| 35.20 | 34 |
| 36.68 | 30 |
| 40.61 | 83 |
| 40.96 | 30 |
| 43.21 | 28 |
| 44.95 | 47 |
| 46.99 | 30 |

***

No. 2
Starting from DFT lattice parameters and positions (PBE), the X-ray powder pattern of Na6B4Sb2PO16 was calculated for Cu Kα (weighted mean of Kα1 and Kα2).
Kinematic intensities with the Lorentz-polarization factor, no thermal factor.

Crystal structure
Lattice parameters (Å, degrees): 14.217 14.217 14.217 90.00 90.00 90.00
Space group Fd-3 (No. 203, origin choice 2)
Symmetry-distinct sites (fractional):
Na1 0.076 0.375 0.375 (multiplicity 48)
B1 0.035 0.035 0.715 (multiplicity 32)
Sb1 0.000 0.000 0.500 (multiplicity 16)
P1 0.125 0.125 0.125 (multiplicity 8)
O1 0.021 0.108 0.778 (multiplicity 96)
O2 0.062 0.062 0.062 (multiplicity 32)

Peak list (8 most intense, 15 to 90 degrees two-theta, in order of rising 2θ)
| 2θ (°) | I_rel |
| --- | --- |
| 20.72 | 100 |
| 21.65 | 48 |
| 32.73 | 64 |
| 35.73 | 50 |
| 37.42 | 25 |
| 42.16 | 34 |
| 56.02 | 28 |
| 56.42 | 23 |

***

No. 3
Starting from DFT lattice parameters and positions (PBE), the X-ray powder pattern of ErBi was calculated for Cu Kα (weighted mean of Kα1 and Kα2).
Kinematic intensities with the Lorentz-polarization factor, no thermal factor.

Crystal structure
Lattice parameters (Å, degrees): 6.291 6.291 6.291 90.00 90.00 90.00
Space group Fm-3m (No. 225)
Symmetry-distinct sites (fractional):
Er1 0.000 0.000 0.000 (multiplicity 4)
Bi1 0.000 0.000 0.500 (multiplicity 4)

Peak list (8 most intense, 15 to 90 degrees two-theta, in order of rising 2θ)
| 2θ (°) | I_rel |
| --- | --- |
| 24.51 | 2 |
| 28.38 | 100 |
| 40.56 | 78 |
| 50.24 | 28 |
| 58.71 | 13 |
| 66.47 | 37 |
| 73.79 | 28 |
| 87.78 | 9 |